Starting from a cell relaxed with GGA+U, the powder diffractogram of La5V3S6O7 was simulated for CuKα.

Structure:
a b c (Å): 3.823 10.326 18.107
angles (deg): 90.00 90.00 90.00
Element x y z (fractional)
La1 0.000 0.028 0.000
La2 0.000 0.034 0.769
La3 0.000 0.228 0.387
La4 0.000 0.584 0.549
La5 0.000 0.589 0.221
La6 0.500 0.411 0.721
La7 0.500 0.416 0.049
La8 0.500 0.772 0.887
La9 0.500 0.966 0.269
La10 0.500 0.972 0.500
V1 0.000 0.246 0.193
V2 0.000 0.249 0.578
V3 0.000 0.313 0.885
V4 0.500 0.687 0.385
V5 0.500 0.751 0.078
V6 0.500 0.754 0.693
S1 0.000 0.538 0.384
S2 0.000 0.645 0.004
S3 0.000 0.649 0.767
S4 0.000 0.851 0.623
S5 0.000 0.853 0.150
S6 0.000 0.856 0.385
S7 0.500 0.144 0.885
S8 0.500 0.147 0.650
S9 0.500 0.149 0.123
S10 0.500 0.351 0.267
S11 0.500 0.355 0.504
S12 0.500 0.462 0.884
O1 0.000 0.104 0.505
O2 0.000 0.111 0.261
O3 0.000 0.289 0.785
O4 0.000 0.294 0.987
O5 0.000 0.390 0.135
O6 0.000 0.405 0.640
O7 0.000 0.905 0.883
O8 0.500 0.095 0.383
O9 0.500 0.595 0.140
O10 0.500 0.610 0.635
O11 0.500 0.706 0.487
O12 0.500 0.711 0.285
O13 0.500 0.889 0.761
O14 0.500 0.896 0.005

Largest 12 diffraction maxima, sorted by position, 2θ from 15° to 90°:
2θ = 25.3°, I = 54, (1 1 1); 2θ = 26.2°, I = 79, (0 2 4); 2θ = 26.4°, I = 51, (0 3 1); 2θ = 29.0°, I = 100, (1 1 3); 2θ = 30.9°, I = 27, (0 1 6); 2θ = 32.7°, I = 39, (0 3 4); 2θ = 34.1°, I = 94, (1 0 5); 2θ = 35.1°, I = 36, (1 3 0); 2θ = 35.3°, I = 76, (1 2 4); 2θ = 35.4°, I = 58, (1 3 1); 2θ = 46.5°, I = 62, (1 3 6); 2θ = 47.6°, I = 52, (2 0 0)